[1]
# Mn2CoSiPd
Theoretical powder X-ray diffraction pattern, CuKα. Input: a DFT-relaxed cell (GGA-PBE, Alexandria).
Kinematic intensities with the Lorentz-polarization factor, no thermal factor.

Structural model:
```
data_Mn2CoSiPd
_space_group_name_H-M_alt 'P 4/m m m'
_space_group_IT_number 123
_space_group_name_Hall '-P 4 2'
_cell_length_a 4.497
_cell_length_b 4.497
_cell_length_c 4.172
_cell_angle_alpha 90.00
_cell_angle_beta 90.00
_cell_angle_gamma 90.00
loop_
_atom_site_label
_atom_site_type_symbol
_atom_site_fract_x
_atom_site_fract_y
_atom_site_fract_z
Mn1 Mn 0.000 0.500 0.000
Co1 Co 0.000 0.000 0.000
Si1 Si 0.000 0.000 0.500
Pd1 Pd 0.500 0.500 0.500
```

Largest 8 diffraction maxima, in order of rising 2θ, 15° ≤ 2θ ≤ 90°:
- 29.2°, d 3.058, I 97, (1 0 1)
- 35.5°, d 2.529, I 100, (1 1 1)
- 40.1°, d 2.249, I 98, (2 0 0)
- 43.4°, d 2.086, I 39, (0 0 2)
- 50.4°, d 1.812, I 41, (2 1 1)
- 58.0°, d 1.590, I 31, (2 2 0)
- 60.5°, d 1.529, I 54, (2 0 2)
- 75.1°, d 1.265, I 28, (2 2 2)

[2]
# Pm4Dy3Y8
Theoretical powder X-ray diffraction pattern, CuKα. Input: a DFT-relaxed cell (GGA-PBE, Alexandria).
Kinematic intensities with the Lorentz-polarization factor, no thermal factor.

Structural model:
```
data_Pm4Dy3Y8
_space_group_name_H-M_alt 'C 1 2/m 1'
_space_group_IT_number 12
_space_group_name_Hall '-C 2y'
_cell_length_a 13.494
_cell_length_b 12.868
_cell_length_c 6.781
_cell_angle_alpha 90.00
_cell_angle_beta 120.07
_cell_angle_gamma 90.00
loop_
_atom_site_label
_atom_site_type_symbol
_atom_site_fract_x
_atom_site_fract_y
_atom_site_fract_z
Pm1 Pm 0.000 0.000 0.000
Pm2 Pm 0.000 0.000 0.500
Pm3 Pm 0.250 0.250 0.000
Dy1 Dy 0.000 0.500 0.000
Dy2 Dy 0.250 0.250 0.500
Y1 Y 0.000 0.254 0.000
Y2 Y 0.000 0.359 0.500
Y3 Y 0.231 0.500 0.965
Y4 Y 0.234 0.500 0.488
```

Largest 8 diffraction maxima, in order of rising 2θ, 15° ≤ 2θ ≤ 90°:
- 20.5°, d 4.324, I 20, (2 2 0)
- 27.7°, d 3.217, I 42, (0 4 0)
- 30.5°, d 2.932, I 100, (4 0 -2)
- 30.6°, d 2.920, I 48, (4 0 0)
- 31.7°, d 2.820, I 22, (2 4 -1)
- 41.7°, d 2.167, I 55, (4 4 -2)
- 41.8°, d 2.162, I 26, (4 4 0)
- 66.3°, d 1.410, I 29, (4 8 -2)

[3]
# Rb2SmCu2Te4
Theoretical powder X-ray diffraction pattern, CuKα. Input: a DFT-relaxed cell (GGA-PBE, Alexandria).
Kinematic intensities with the Lorentz-polarization factor, no thermal factor.

Structural model:
```
data_Rb2SmCu2Te4
_space_group_name_H-M_alt 'C 1 2/m 1'
_space_group_IT_number 12
_space_group_name_Hall '-C 2y'
_cell_length_a 16.158
_cell_length_b 4.334
_cell_length_c 8.859
_cell_angle_alpha 90.00
_cell_angle_beta 108.47
_cell_angle_gamma 90.00
loop_
_atom_site_label
_atom_site_type_symbol
_atom_site_fract_x
_atom_site_fract_y
_atom_site_fract_z
Rb1 Rb 0.133 0.000 0.051
Sm1 Sm 0.000 0.000 0.500
Cu1 Cu 0.179 0.500 0.487
Te1 Te 0.024 0.500 0.265
Te2 Te 0.204 0.000 0.672
```

Largest 8 diffraction maxima, in order of rising 2θ, 15° ≤ 2θ ≤ 90°:
- 26.0°, d 3.422, I 32, (4 0 -2)
- 26.9°, d 3.310, I 32, (3 1 0)
- 28.5°, d 3.132, I 49, (4 0 1)
- 28.8°, d 3.096, I 100, (1 1 -2)
- 30.8°, d 2.903, I 34, (3 1 -2)
- 37.9°, d 2.372, I 31, (3 1 2)
- 41.7°, d 2.167, I 38, (0 2 0)
- 46.6°, d 1.949, I 35, (3 1 3)

[4]
# Dy5Ag2Bi
Theoretical powder X-ray diffraction pattern, CuKα. Input: a DFT-relaxed cell (GGA-PBE, Alexandria).
Kinematic intensities with the Lorentz-polarization factor, no thermal factor.

Structural model:
```
data_Dy5Ag2Bi
_space_group_name_H-M_alt 'I 4/m c m'
_space_group_IT_number 140
_space_group_name_Hall '-I 4 2c'
_cell_length_a 8.177
_cell_length_b 8.177
_cell_length_c 13.172
_cell_angle_alpha 90.00
_cell_angle_beta 90.00
_cell_angle_gamma 90.00
loop_
_atom_site_label
_atom_site_type_symbol
_atom_site_fract_x
_atom_site_fract_y
_atom_site_fract_z
Dy1 Dy 0.000 0.000 0.000
Dy2 Dy 0.153 0.347 0.146
Ag1 Ag 0.136 0.364 0.500
Bi1 Bi 0.000 0.000 0.250
```

Largest 8 diffraction maxima, in order of rising 2θ, 15° ≤ 2θ ≤ 90°:
- 30.9°, d 2.891, I 14, (2 2 0)
- 31.3°, d 2.862, I 27, (1 1 4)
- 31.8°, d 2.810, I 100, (2 1 3)
- 34.7°, d 2.586, I 73, (3 1 0)
- 35.0°, d 2.565, I 28, (2 0 4)
- 55.2°, d 1.663, I 15, (3 3 4)
- 65.0°, d 1.435, I 18, (5 2 3)
- 67.4°, d 1.389, I 13, (3 1 8)